The following is a simulated powder X-ray diffraction pattern of Ce2YMnN5. It was derived from a crystal structure in Alexandria, relaxed with PBE, using Cu Kα X-rays.
Intensities are scaled so that the largest is 100.

Largest 12 diffraction maxima, by angle, 2θ = 10–90°:
hkl 0 0 1, d = 5.635 Å, I 22; hkl 1 1 1, d = 3.570 Å, I 11; hkl 2 1 0, d = 2.918 Å, I 26; hkl 0 0 2, d = 2.822 Å, I 100; hkl 2 1 1, d = 2.592 Å, I 64; hkl 2 2 0, d = 2.307 Å, I 14; hkl 3 1 0, d = 2.064 Å, I 16; hkl 2 1 2, d = 2.027 Å, I 40; hkl 2 2 2, d = 1.785 Å, I 12; hkl 2 0 3, d = 1.628 Å, I 13; hkl 2 1 3, d = 1.579 Å, I 12; hkl 4 1 1, d = 1.524 Å, I 13

Crystal structure
Cell lengths 6.526, 6.526, 5.635 Å; angles 90.00, 90.00, 90.00 degrees
Fractional positions:
Ce 0.168 0.332 0.000
Ce 0.332 0.832 0.000
Ce 0.668 0.168 0.000
Ce 0.832 0.668 0.000
Y 0.000 0.000 0.500
Y 0.500 0.500 0.500
Mn 0.000 0.500 0.500
Mn 0.500 0.000 0.500
N 0.000 0.000 0.000
N 0.145 0.645 0.274
N 0.145 0.645 0.726
N 0.355 0.145 0.274
N 0.355 0.145 0.726
N 0.500 0.500 0.000
N 0.645 0.855 0.274
N 0.645 0.855 0.726
N 0.855 0.355 0.274
N 0.855 0.355 0.726